Diffraction record for Ca2NiBiO6. The XRD peak list is theoretical, not measured: it uses a crystal structure in the Materials Project, relaxed with GGA+U and a wavelength of 1.5418 Å.
No peak broadening, texture or thermal motion is included.

```
10
Lattice="0.000 4.017 4.017 4.017 0.000 4.017 4.017 4.017 0.000" Properties=species:S:1:pos:R:3 pbc="T T T"
Ca 2.008 2.008 2.008
Ca 6.025 6.025 6.025
Ni 0.000 0.000 0.000
Bi 4.017 4.017 4.017
O 4.017 4.017 1.942
O 4.017 1.942 4.017
O 6.092 4.017 4.017
O 1.942 4.017 4.017
O 4.017 6.092 4.017
O 4.017 4.017 6.092
```

Largest 10 diffraction maxima, in order of rising 2θ, 2θ from 5° to 70°:
two_theta  Rel. int.
19.14  371
22.13  556
31.50  1000
37.12  255
45.14  352
49.45  128
50.83  246
56.08  393
65.75  208
69.18  87